Diffraction record for Mg3Al8FeSi6. The powder diffractogram is calculated, not measured: it uses a GGA-PBE-relaxed structure and Cu Kα, 1.54184 Å.

Most intense lines, 5° ≤ 2θ ≤ 70°, by angle:
(0 0 1), 2θ 11.51, rel. 32.3; (1 0 0), 2θ 15.22, rel. 38.1; (1 1 2), 2θ 35.48, rel. 90.0; (2 0 2), 2θ 38.81, rel. 100.0; (2 1 0), 2θ 41.02, rel. 37.6; (3 0 0), 2θ 46.82, rel. 43.4; (0 0 4), 2θ 47.30, rel. 30.7; (2 1 2), 2θ 47.62, rel. 59.0; (2 1 4), 2θ 64.37, rel. 16.1; (3 0 4), 2θ 68.74, rel. 23.0

Atomic structure:
a = 6.7219 Å, b = 6.7219 Å, c = 7.6870 Å
α = 90.00°, β = 90.00°, γ = 120.00°
Space group P-62m (No. 189)
Unique sites:
Mg  0.0000  0.4271  0.0000
Al  0.0000  0.0000  0.0000
Al  0.0000  0.3590  0.5000
Al  0.3333  0.6667  0.2835
Fe  0.0000  0.0000  0.5000
Si  0.0000  0.7575  0.2673



Diffraction record for Mn2Al7Fe2. The powder diffractogram is calculated, not measured: it uses a GGA-PBE-relaxed structure and Cu Kα, 1.54184 Å.

Most intense lines, 5° ≤ 2θ ≤ 70°, by angle:
(0 2 1), 2θ 24.00, rel. 87.2; (0 0 2), 2θ 25.97, rel. 25.4; (1 1 2), 2θ 32.53, rel. 37.4; (2 0 1), 2θ 35.68, rel. 100.0; (0 4 0), 2θ 40.96, rel. 73.4; (1 3 2), 2θ 43.89, rel. 41.2; (0 2 3), 2θ 44.64, rel. 75.5; (2 2 2), 2θ 47.52, rel. 99.8; (2 4 1), 2θ 55.42, rel. 45.2; (4 0 0), 2θ 69.46, rel. 23.2

Atomic structure:
a = 5.411 Å, b = 8.813 Å, c = 6.861 Å
α = 90.00°, β = 90.00°, γ = 90.00°
Space group Cmmm (No. 65)
Unique sites:
Mn  0.184  0.000  0.000
Al  0.000  0.000  0.500
Al  0.000  0.500  0.291
Al  0.250  0.250  0.196
Fe  0.000  0.272  0.500



Diffraction record for MnAl2Fe6. The powder diffractogram is calculated, not measured: it uses a GGA-PBE-relaxed structure and Cu Kα, 1.54184 Å.

Most intense lines, 5° ≤ 2θ ≤ 70°, by angle:
(3 1 0), 2θ 25.17, rel. 6.5; (0 0 1), 2θ 35.67, rel. 6.7; (2 0 1), 2θ 39.36, rel. 13.9; (3 1 -1), 2θ 43.23, rel. 19.2; (3 3 0), 2θ 44.03, rel. 100.0; (6 0 0), 2θ 44.50, rel. 37.9; (3 1 1), 2θ 45.06, rel. 18.7; (4 0 -1), 2θ 45.59, rel. 11.1; (1 3 -1), 2θ 53.22, rel. 12.0; (6 2 1), 2θ 65.77, rel. 6.6

Atomic structure:
a = 12.231 Å, b = 7.147 Å, c = 2.520 Å
α = 90.00°, β = 92.74°, γ = 90.00°
Space group Cm (No. 8)
Unique sites:
Mn  0.000  0.000  0.000
Al  0.160  0.500  0.050
Al  0.330  0.000  0.029
Fe  0.166  0.171  0.544
Fe  0.334  0.333  0.344
Fe  0.495  0.170  0.654



Diffraction record for MnAlFe2. The powder diffractogram is calculated, not measured: it uses a GGA-PBE-relaxed structure and Cu Kα, 1.54184 Å.

Most intense lines, 5° ≤ 2θ ≤ 70°, by angle:
(0 0 1), 2θ 12.61, rel. 22.4; (0 0 2), 2θ 25.37, rel. 2.2; (1 0 0), 2θ 34.76, rel. 2.1; (1 0 1), 2θ 37.11, rel. 2.4; (1 0 2), 2θ 43.52, rel. 100.0; (1 1 0), 2θ 49.97, rel. 32.8; (1 1 1), 2θ 51.75, rel. 2.3; (0 0 4), 2θ 52.10, rel. 13.6; (1 0 3), 2θ 52.80, rel. 4.2; (0 0 5), 2θ 66.59, rel. 0.8

Atomic structure:
a = 2.581 Å, b = 2.581 Å, c = 7.022 Å
α = 90.00°, β = 90.00°, γ = 90.00°
Space group P4mm (No. 99)
Unique sites:
Mn  0.000  0.000  0.000
Al  0.500  0.500  0.262
Fe  0.000  0.000  0.523
Fe  0.500  0.500  0.765



Diffraction record for MnAlFe5. The powder diffractogram is calculated, not measured: it uses a GGA-PBE-relaxed structure and Cu Kα, 1.54184 Å.

Most intense lines, 5° ≤ 2θ ≤ 70°, by angle:
(1 1 0), 2θ 21.66, rel. 38.0; (0 2 0), 2θ 24.03, rel. 16.7; (2 0 0), 2θ 36.47, rel. 5.5; (0 0 2), 2θ 37.23, rel. 5.1; (1 3 0), 2θ 40.88, rel. 6.8; (1 1 2), 2θ 43.49, rel. 11.3; (2 2 0), 2θ 44.15, rel. 100.0; (0 2 2), 2θ 44.80, rel. 95.1; (0 4 0), 2θ 49.20, rel. 35.5; (2 0 2), 2θ 53.10, rel. 55.3

Atomic structure:
a = 4.928 Å, b = 7.407 Å, c = 4.830 Å
α = 90.00°, β = 90.00°, γ = 90.00°
Space group Cmmm (No. 65)
Unique sites:
Mn  0.000  0.000  0.000
Al  0.000  0.500  0.500
Fe  0.000  0.000  0.500
Fe  0.250  0.250  0.243



Diffraction record for MnAlVFeMo. The powder diffractogram is calculated, not measured: it uses a GGA-PBE-relaxed structure and Cu Kα, 1.54184 Å.

Most intense lines, 5° ≤ 2θ ≤ 70°, by angle:
(0 0 3), 2θ 20.89, rel. 12.7; (1 0 1), 2θ 25.49, rel. 12.2; (0 1 2), 2θ 28.27, rel. 15.8; (1 0 4), 2θ 37.52, rel. 3.0; (1 1 0), 2θ 43.13, rel. 100.0; (0 1 5), 2θ 43.33, rel. 97.5; (1 1 3), 2θ 48.38, rel. 7.9; (2 0 2), 2θ 52.37, rel. 2.7; (1 1 6), 2θ 62.16, rel. 3.3; (2 0 5), 2θ 62.79, rel. 30.1

Atomic structure:
a = 4.1951 Å, b = 4.1951 Å, c = 12.7596 Å
α = 90.00°, β = 90.00°, γ = 120.00°
Space group R3m (No. 160, hexagonal axes)
Unique sites:
Mn  0.0000  0.0000  0.0000
Al  0.0000  0.0000  0.2036
V  0.0000  0.0000  0.7974
Fe  0.0000  0.0000  0.6053
Mo  0.0000  0.0000  0.4061



Diffraction record for MnAlVFeMo. The powder diffractogram is calculated, not measured: it uses a GGA-PBE-relaxed structure and Cu Kα, 1.54184 Å.

Most intense lines, 5° ≤ 2θ ≤ 70°, by angle:
(0 0 3), 2θ 20.44, rel. 9.5; (1 0 1), 2θ 25.98, rel. 12.7; (0 1 2), 2θ 28.60, rel. 18.4; (1 0 4), 2θ 37.43, rel. 4.0; (0 1 5), 2θ 43.02, rel. 100.0; (1 1 0), 2θ 44.12, rel. 95.2; (1 1 3), 2θ 49.08, rel. 5.5; (1 0 7), 2θ 55.72, rel. 3.2; (1 1 6), 2θ 62.21, rel. 4.3; (2 0 5), 2θ 63.32, rel. 29.4

Atomic structure:
a = 4.1056 Å, b = 4.1056 Å, c = 13.0371 Å
α = 90.00°, β = 90.00°, γ = 120.00°
Space group R3m (No. 160, hexagonal axes)
Unique sites:
Mn  0.0000  0.0000  0.0000
Al  0.0000  0.0000  0.5970
V  0.0000  0.0000  0.3876
Fe  0.0000  0.0000  0.1967
Mo  0.0000  0.0000  0.8031



Diffraction record for NaMnAlFe. The powder diffractogram is calculated, not measured: it uses a GGA-PBE-relaxed structure and Cu Kα, 1.54184 Å.

Most intense lines, 5° ≤ 2θ ≤ 70°, by angle:
(0 0 1), 2θ 13.16, rel. 93.4; (0 1 0), 2θ 23.94, rel. 32.7; (0 1 1), 2θ 27.42, rel. 24.0; (0 1 2), 2θ 36.02, rel. 84.9; (1 1 0), 2θ 41.33, rel. 100.0; (1 0 2), 2θ 42.96, rel. 50.3; (0 1 3), 2θ 47.35, rel. 30.2; (0 2 0), 2θ 49.02, rel. 29.4; (1 1 3), 2θ 59.04, rel. 27.0; (1 2 2), 2θ 67.19, rel. 23.9

Atomic structure:
a = 2.700 Å, b = 3.717 Å, c = 6.726 Å
α = 90.00°, β = 90.00°, γ = 90.00°
Space group Pmm2 (No. 25)
Unique sites:
Na  0.000  0.000  0.000
Mn  0.500  0.500  0.325
Al  0.000  0.000  0.521
Fe  0.500  0.500  0.687



Diffraction record for ScMn2Al5Fe. The powder diffractogram is calculated, not measured: it uses a GGA-PBE-relaxed structure and Cu Kα, 1.54184 Å.

Most intense lines, 5° ≤ 2θ ≤ 70°, by angle:
(0 1 1), 2θ 17.20, rel. 51.7; (1 1 2), 2θ 29.57, rel. 100.0; (1 2 1), 2θ 38.66, rel. 25.9; (0 1 5), 2θ 39.30, rel. 19.0; (2 0 0), 2θ 41.53, rel. 56.2; (0 2 4), 2θ 43.09, rel. 32.2; (0 0 6), 2θ 43.30, rel. 29.5; (1 2 3), 2θ 43.91, rel. 48.1; (2 2 4), 2θ 61.38, rel. 21.3; (2 0 6), 2θ 61.55, rel. 24.1

Atomic structure:
a = 4.349 Å, b = 5.654 Å, c = 12.539 Å
α = 90.00°, β = 90.00°, γ = 90.00°
Space group Immm (No. 71)
Unique sites:
Sc  0.000  0.000  0.000
Mn  0.000  0.500  0.188
Al  0.000  0.255  0.349
Al  0.000  0.500  0.000
Fe  0.000  0.000  0.500



Diffraction record for Sm2Mn2Al2Fe13. The powder diffractogram is calculated, not measured: it uses a GGA-PBE-relaxed structure and Cu Kα, 1.54184 Å.

Most intense lines, 5° ≤ 2θ ≤ 70°, by angle:
(2 0 1), 2θ 25.39, rel. 13.0; (3 1 0), 2θ 30.09, rel. 33.3; (1 3 1), 2θ 36.86, rel. 17.9; (2 2 -2), 2θ 37.81, rel. 22.5; (0 4 0), 2θ 42.78, rel. 14.3; (2 2 2), 2θ 42.94, rel. 100.0; (0 0 3), 2θ 43.07, rel. 13.1; (4 0 -2), 2θ 43.28, rel. 29.6; (2 4 -1), 2θ 48.29, rel. 11.1; (6 2 0), 2θ 62.51, rel. 12.8

Atomic structure:
a = 9.679 Å, b = 8.455 Å, c = 6.407 Å
α = 90.00°, β = 100.49°, γ = 90.00°
Space group C2/m (No. 12)
Unique sites:
Sm  0.151  0.000  0.352
Mn  0.250  0.250  0.000
Al  0.100  0.500  0.895
Fe  0.000  0.205  0.000
Fe  0.000  0.500  0.500
Fe  0.092  0.252  0.660
Fe  0.144  0.354  0.287
Fe  0.160  0.000  0.848



Diffraction record for Tm2Mn2AlFe5. The powder diffractogram is calculated, not measured: it uses a GGA-PBE-relaxed structure and Cu Kα, 1.54184 Å.

Most intense lines, 5° ≤ 2θ ≤ 70°, by angle:
(1 1 0), 2θ 13.75, rel. 22.8; (2 0 1), 2θ 31.80, rel. 46.1; (2 1 1), 2θ 33.32, rel. 62.2; (2 2 1), 2θ 37.57, rel. 41.8; (3 1 1), 2θ 40.19, rel. 92.2; (4 1 0), 2θ 40.86, rel. 100.0; (3 3 0), 2θ 42.10, rel. 38.8; (3 2 1), 2θ 43.87, rel. 55.9; (0 0 2), 2θ 51.03, rel. 32.1; (4 1 2), 2θ 67.34, rel. 43.8

Atomic structure:
a = 9.107 Å, b = 9.107 Å, c = 3.580 Å
α = 90.00°, β = 90.00°, γ = 90.00°
Space group P4/mbm (No. 127)
Unique sites:
Tm  0.185  0.315  0.000
Mn  0.109  0.609  0.000
Al  0.000  0.000  0.000
Fe  0.000  0.500  0.500
Fe  0.056  0.799  0.500



Diffraction record for Al12Fe6Mo. The powder diffractogram is calculated, not measured: it uses a GGA-PBE-relaxed structure and Cu Kα, 1.54184 Å.

Most intense lines, 5° ≤ 2θ ≤ 70°, by angle:
(2 0 0), 2θ 21.90, rel. 44.8; (2 1 1), 2θ 26.90, rel. 9.9; (3 1 0), 2θ 34.95, rel. 4.0; (2 2 2), 2θ 38.41, rel. 10.3; (3 2 1), 2θ 41.63, rel. 100.0; (4 0 0), 2θ 44.65, rel. 15.2; (4 1 1), 2θ 47.52, rel. 22.0; (3 3 2), 2θ 52.90, rel. 4.3; (4 1 3), 2θ 57.92, rel. 24.5; (6 0 0), 2θ 69.47, rel. 10.8

Atomic structure:
a = 8.118 Å, b = 8.118 Å, c = 8.118 Å
α = 90.00°, β = 90.00°, γ = 90.00°
Space group Im-3 (No. 204)
Unique sites:
Al  0.000  0.177  0.278
Fe  0.000  0.361  0.500
Mo  0.000  0.000  0.000



Diffraction record for Al2Fe2Mo. The powder diffractogram is calculated, not measured: it uses a GGA-PBE-relaxed structure and Cu Kα, 1.54184 Å.

Most intense lines, 5° ≤ 2θ ≤ 70°, by angle:
(0 2 0), 2θ 10.16, rel. 100.0; (1 3 0), 2θ 36.03, rel. 3.8; (0 4 1), 2θ 37.53, rel. 20.7; (1 5 0), 2θ 41.76, rel. 34.8; (0 6 1), 2θ 44.39, rel. 29.3; (1 1 1), 2θ 45.92, rel. 38.7; (1 7 0), 2θ 49.31, rel. 8.9; (0 10 0), 2θ 52.54, rel. 6.1; (0 0 2), 2θ 64.99, rel. 4.9; (2 0 0), 2θ 67.93, rel. 4.3

Atomic structure:
a = 2.760 Å, b = 17.417 Å, c = 2.870 Å
α = 90.00°, β = 90.00°, γ = 90.00°
Space group Cmmm (No. 65)
Unique sites:
Al  0.000  0.178  0.000
Fe  0.000  0.407  0.500
Mo  0.000  0.000  0.000